Starting from a PBE-relaxed structure, the powder XRD pattern of DyMnGa was simulated for Cu Kα.
Lines closer than 0.1° are merged.

Structure:
```
DyMnGa
1.0
7.118 0.000 0.000
-3.559 6.164 0.000
0.000 0.000 4.124
Dy Mn Ga
3 3 3
Direct
0.000 0.413 0.000 Dy
0.413 0.000 0.000 Dy
0.587 0.587 0.000 Dy
0.000 0.762 0.500 Mn
0.238 0.238 0.500 Mn
0.762 0.000 0.500 Mn
0.000 0.000 0.000 Ga
0.333 0.667 0.500 Ga
0.667 0.333 0.500 Ga
```

Main lines, in order of falling intensity (10° ≤ 2θ ≤ 90°):
2θ/deg	I/Imax	hkl
33.3	100	1 1 1
36.4	92	2 0 1
38.6	38	2 1 0
58.4	30	3 1 1
43.9	26	0 0 2
29.0	21	2 0 0
59.9	20	2 1 2
70.4	20	3 2 1
25.0	19	1 1 0
44.1	19	3 0 0